No. 1
# CoP6W3O24
Calculated PXRD pattern, Cu Kα (λ = 1.5418 Å). Input: a DFT-relaxed cell (PBE+U, the Materials Project).

Main lines, low angle first (10 to 90 degrees two-theta):
14.13 deg, 6.267 Å, I = 39; 19.87 deg, 4.469 Å, I = 100; 20.21 deg, 4.394 Å, I = 83; 23.58 deg, 3.773 Å, I = 36; 28.49 deg, 3.133 Å, I = 56; 31.71 deg, 2.822 Å, I = 40; 35.18 deg, 2.551 Å, I = 35; 35.38 deg, 2.537 Å, I = 28; 46.03 deg, 1.972 Å, I = 20; 52.21 deg, 1.752 Å, I = 22

Cell and atoms:
Cell: 8.7888 8.7888 22.0858 Å, 90.00 90.00 120.00°
Space group R3 (No. 146, hexagonal axes)
Symmetry-distinct sites (fractional):
Co 0.0000 0.0000 0.0000 (multiplicity 3)
P 0.0000 0.2827 0.1077 (multiplicity 9)
P 0.0039 0.7136 0.6101 (multiplicity 9)
W 0.0000 0.0000 0.2170 (multiplicity 3)
W 0.0000 0.0000 0.5020 (multiplicity 3)
W 0.0000 0.0000 0.7174 (multiplicity 3)
O 0.0148 0.8293 0.5534 (multiplicity 9)
O 0.0250 0.1958 0.7702 (multiplicity 9)
O 0.0341 0.8342 0.2686 (multiplicity 9)
O 0.0372 0.2104 0.0524 (multiplicity 9)
O 0.1572 0.4649 0.8337 (multiplicity 9)
O 0.1614 0.4748 0.1200 (multiplicity 9)
O 0.1617 0.6958 0.3334 (multiplicity 9)
O 0.1657 0.7006 0.6123 (multiplicity 9)



No. 2
# Li3MnPCO7
Calculated PXRD pattern, Cu Kα (λ = 1.5418 Å). Input: a DFT-relaxed cell (PBE+U, the Materials Project).

Main lines, low angle first (10 to 90 degrees two-theta):
16.97 deg, 5.226 Å, I = 26; 17.32 deg, 5.121 Å, I = 81; 20.91 deg, 4.247 Å, I = 41; 24.90 deg, 3.576 Å, I = 18; 26.75 deg, 3.333 Å, I = 24; 26.90 deg, 3.314 Å, I = 100; 34.12 deg, 2.628 Å, I = 18; 35.04 deg, 2.561 Å, I = 28; 39.37 deg, 2.289 Å, I = 19; 41.93 deg, 2.155 Å, I = 29

Cell and atoms:
Cell: 5.125 6.628 8.501 Å, 90.00 92.20 90.00°
Space group P2_1 (No. 4)
Symmetry-distinct sites (fractional):
Li 0.040 0.000 0.001 (multiplicity 2)
Li 0.432 0.325 0.821 (multiplicity 2)
Li 0.441 0.137 0.479 (multiplicity 2)
Mn 0.040 0.773 0.716 (multiplicity 2)
P 0.048 0.772 0.329 (multiplicity 2)
C 0.467 0.283 0.129 (multiplicity 2)
O 0.004 0.082 0.773 (multiplicity 2)
O 0.079 0.451 0.767 (multiplicity 2)
O 0.095 0.246 0.515 (multiplicity 2)
O 0.224 0.258 0.083 (multiplicity 2)
O 0.344 0.811 0.364 (multiplicity 2)
O 0.360 0.815 0.975 (multiplicity 2)
O 0.466 0.772 0.722 (multiplicity 2)



What did the second record say?
# Li3MnPCO7
Calculated PXRD pattern, Cu Kα (λ = 1.5418 Å). Input: a DFT-relaxed cell (PBE+U, the Materials Project).

Main lines, low angle first (10 to 90 degrees two-theta):
16.97 deg, 5.226 Å, I = 26; 17.32 deg, 5.121 Å, I = 81; 20.91 deg, 4.247 Å, I = 41; 24.90 deg, 3.576 Å, I = 18; 26.75 deg, 3.333 Å, I = 24; 26.90 deg, 3.314 Å, I = 100; 34.12 deg, 2.628 Å, I = 18; 35.04 deg, 2.561 Å, I = 28; 39.37 deg, 2.289 Å, I = 19; 41.93 deg, 2.155 Å, I = 29

Cell and atoms:
Cell: 5.125 6.628 8.501 Å, 90.00 92.20 90.00°
Space group P2_1 (No. 4)
Symmetry-distinct sites (fractional):
Li 0.040 0.000 0.001 (multiplicity 2)
Li 0.432 0.325 0.821 (multiplicity 2)
Li 0.441 0.137 0.479 (multiplicity 2)
Mn 0.040 0.773 0.716 (multiplicity 2)
P 0.048 0.772 0.329 (multiplicity 2)
C 0.467 0.283 0.129 (multiplicity 2)
O 0.004 0.082 0.773 (multiplicity 2)
O 0.079 0.451 0.767 (multiplicity 2)
O 0.095 0.246 0.515 (multiplicity 2)
O 0.224 0.258 0.083 (multiplicity 2)
O 0.344 0.811 0.364 (multiplicity 2)
O 0.360 0.815 0.975 (multiplicity 2)
O 0.466 0.772 0.722 (multiplicity 2)